This entry pairs a crystal structure of Cs2MnHgO4 with its theoretical PXRD pattern. Radiation: Cu Kα (weighted mean of Kα1 and Kα2). Structure: a PBE+U-relaxed structure.
Peak positions follow from Bragg's law for the DFT cell and can differ from measured ones.

Principal peaks in the range 10 to 80 degrees two-theta, by angle:
Position (°2θ)	Rel. int.	hkl
15.42	49	1 1 1
15.79	50	0 0 4
24.85	50	1 1 5
28.18	64	0 2 6
30.05	100	2 2 0
32.83	39	1 3 5
35.50	35	2 0 6
47.14	45	2 4 6

Atomic structure:
abc: 6.8642 11.9031 22.4445
angles: 90.00 90.00 90.00
Space group Fddd (No. 70, origin choice 2)
Unique sites:
Cs (0.1250, 0.1250, 0.3110) x16
Mn (0.1250, 0.1250, 0.6250) x8
Hg (0.1250, 0.1250, 0.1250) x8
O (0.0199, 0.2924, 0.8336) x32